Calculated PXRD pattern of KVOF3 for copper Kα, from a crystal structure in Alexandria, relaxed with GGA+U.

Structure:
```
data_KVOF3
_cell_length_a 7.360
_cell_length_b 7.688
_cell_length_c 13.412
_cell_angle_alpha 90.00
_cell_angle_beta 90.00
_cell_angle_gamma 90.00
_space_group_name_H-M_alt 'P n m a'
_space_group_IT_number 62
_space_group_name_Hall '-P 2ac 2n'
loop_
_atom_site_label
_atom_site_fract_x
_atom_site_fract_y
_atom_site_fract_z
K1 0.092 0.250 0.108
K2 0.168 0.750 0.143
V1 0.135 0.003 0.397
O1 0.119 0.035 0.276
F1 0.071 0.750 0.392
F2 0.116 0.052 0.918
F3 0.123 0.536 0.560
F4 0.199 0.250 0.437
```

Peak list (10 most intense, 15 to 90 degrees two-theta, by angle)
two_theta	I (rel.)	h k l
17.9	336	1 0 2
23.1	220	0 2 0
25.1	913	2 0 1
26.6	704	0 0 4
27.0	601	1 2 1
29.4	1000	1 2 2
40.3	248	0 0 6
44.3	203	3 2 1
47.3	337	0 4 0
49.5	272	4 0 0